(1)
Computed X-ray powder pattern
Compound: Ac5Sn5Ir2
Radiation: copper Kα
Structure: a cell relaxed with PBE

Structure:
```
Ac5Sn5Ir2
1.0
8.561 -2.338 0.000
8.561 2.338 0.000
-8.506 0.000 9.401
Ac Sn Ir
5 5 2
Cartesian
0.000 0.000 0.000 Ac
-1.476 0.000 3.965 Ac
-3.632 0.000 7.717 Ac
12.247 0.000 1.684 Ac
10.091 0.000 5.436 Ac
1.711 0.000 2.849 Sn
6.273 0.000 1.524 Sn
4.308 0.000 4.700 Sn
2.342 0.000 7.877 Sn
6.904 0.000 6.552 Sn
-0.225 0.000 6.909 Ir
8.840 0.000 2.492 Ir
```

Largest 10 diffraction maxima, low angle first, 10 to 90 degrees two-theta:
2θ/deg	I_rel
10.33	21.3
28.53	100.0
30.32	42.4
30.96	67.8
32.79	21.1
32.85	30.0
35.45	59.4
38.50	40.7
44.10	32.8
49.77	22.2

---

(2)
Computed X-ray powder pattern
Compound: DyFe2SiGe
Radiation: copper Kα
Structure: a cell relaxed with PBE

Structure:
```
DyFe2SiGe
1.0
2.822 -4.850 0.000
2.822 4.850 0.000
0.000 0.000 5.638
Dy Fe Si Ge
2 4 2 2
Cartesian
2.822 2.439 4.229 Dy
2.822 -2.439 1.410 Dy
1.400 0.000 0.000 Fe
1.400 0.000 2.819 Fe
4.244 0.000 0.000 Fe
4.244 0.000 2.819 Fe
2.822 3.788 1.410 Si
2.822 -3.788 4.229 Si
2.822 1.213 1.410 Ge
2.822 -1.213 4.229 Ge
```

Largest 10 diffraction maxima, low angle first, 10 to 90 degrees two-theta:
2θ/deg	I_rel
24.14	34.9
31.73	20.9
35.75	82.0
36.87	100.0
45.48	52.7
52.45	23.7
59.15	37.9
66.28	16.5
66.69	19.0
78.33	20.5

---

(3)
Computed X-ray powder pattern
Compound: Tm8Tc2Hg
Radiation: copper Kα
Structure: a cell relaxed with PBE

Structure:
```
Tm8Tc2Hg
1.0
8.473 -2.598 0.000
8.473 2.598 0.000
-2.764 0.000 6.270
Tm Tc Hg
8 2 1
Cartesian
0.000 0.000 0.000 Tm
0.036 0.000 4.207 Tm
4.443 0.000 1.094 Tm
3.600 0.000 4.716 Tm
7.706 0.000 1.758 Tm
11.046 0.000 0.514 Tm
10.389 0.000 3.719 Tm
13.830 0.000 2.808 Tm
1.805 0.000 2.201 Tc
14.103 0.000 0.143 Tc
6.532 0.000 4.411 Hg
```

Largest 10 diffraction maxima, low angle first, 10 to 90 degrees two-theta:
2θ/deg	I_rel
28.48	17.8
31.62	89.5
31.81	52.4
33.66	41.2
34.52	71.8
34.71	18.4
35.88	100.0
43.29	22.2
62.73	19.8
62.98	17.3

---

(4)
Computed X-ray powder pattern
Compound: LaY5Mg
Radiation: copper Kα
Structure: a cell relaxed with PBE

Structure:
```
LaY5Mg
1.0
5.898 -3.290 0.000
5.898 3.290 0.000
-5.343 0.000 11.771
La Y Mg
2 10 2
Cartesian
1.891 2.011 8.828 La
4.563 -2.011 2.943 La
-0.834 0.525 8.275 Y
4.563 1.482 2.943 Y
-1.311 0.165 11.531 Y
1.838 -0.525 2.389 Y
1.361 -0.165 5.645 Y
5.092 0.165 6.126 Y
4.615 0.525 9.382 Y
7.764 -0.165 0.240 Y
1.891 -1.482 8.828 Y
7.287 -0.525 3.496 Y
0.000 0.000 0.000 Mg
-2.672 0.000 5.885 Mg
```

Largest 10 diffraction maxima, low angle first, 10 to 90 degrees two-theta:
2θ/deg	I_rel
15.05	36.1
28.38	27.4
30.36	99.6
31.13	100.0
31.90	46.2
32.24	23.3
33.32	63.4
36.98	16.9
44.56	24.9
54.65	23.1